Record 1
Diffraction record for NdTlTe2. The powder diffractogram is computed, not measured: it uses a GGA-PBE-relaxed structure and Cu Kα X-rays.

Crystal structure
```
NdTlTe2
1.0
4.577 0.000 0.000
-2.289 3.964 0.000
0.000 0.000 24.683
Nd Tl Te
3 3 6
direct
0.000 0.000 0.000
0.333 0.667 0.667
0.667 0.333 0.333
0.000 0.000 0.500
0.333 0.667 0.167
0.667 0.333 0.833
0.000 0.000 0.260
0.000 0.000 0.740
0.333 0.667 0.406
0.333 0.667 0.927
0.667 0.333 0.073
0.667 0.333 0.594
```

Largest 10 diffraction maxima, by angle, 2θ = 10–90°:
| 2theta | d [Å] | Rel. int. |
| --- | --- | --- |
| 26.73 | 3.335 | 100 |
| 36.92 | 2.435 | 39 |
| 39.37 | 2.289 | 37 |
| 44.02 | 2.057 | 7 |
| 48.22 | 1.887 | 20 |
| 55.07 | 1.668 | 12 |
| 60.52 | 1.530 | 16 |
| 63.94 | 1.456 | 17 |
| 69.78 | 1.348 | 12 |
| 71.38 | 1.321 | 6 |

***

Record 2
Diffraction record for LiNb2Te4Cl10O. The powder diffractogram is computed, not measured: it uses a GGA-PBE-relaxed structure and Cu Kα X-rays.

Crystal structure
```
LiNb2Te4Cl10O
1.0
6.965 0.000 0.000
-2.388 8.508 0.000
-0.007 -1.309 9.447
Li Nb Te Cl O
1 2 4 10 1
direct
0.000 0.000 0.000
0.574 0.563 0.937
0.624 0.295 0.214
0.011 0.122 0.584
0.185 0.736 0.567
0.289 0.027 0.735
0.913 0.833 0.416
0.246 0.403 0.859
0.290 0.122 0.152
0.443 0.717 0.111
0.496 0.441 0.393
0.563 0.750 0.771
0.654 0.100 0.371
0.714 0.414 0.762
0.751 0.134 0.022
0.916 0.725 0.009
0.956 0.444 0.282
0.598 0.425 0.075
```

Largest 10 diffraction maxima, by angle, 2θ = 10–90°:
| 2theta | d [Å] | Rel. int. |
| --- | --- | --- |
| 14.47 | 6.121 | 27 |
| 15.02 | 5.899 | 32 |
| 15.92 | 5.567 | 100 |
| 20.25 | 4.385 | 31 |
| 20.36 | 4.362 | 31 |
| 22.62 | 3.931 | 40 |
| 25.43 | 3.502 | 29 |
| 30.36 | 2.944 | 50 |
| 31.85 | 2.810 | 23 |
| 33.88 | 2.646 | 36 |

***

Record 3
Diffraction record for BaP4Au2. The powder diffractogram is computed, not measured: it uses a GGA-PBE-relaxed structure and Cu Kα X-rays.

Crystal structure
```
BaP4Au2
1.0
0.000 4.509 11.278
3.279 0.000 11.278
3.279 4.509 0.000
Ba P Au
2 8 4
direct
0.125 0.125 0.125
0.875 0.875 0.875
0.120 0.472 0.402
0.402 0.506 0.120
0.472 0.120 0.506
0.494 0.598 0.528
0.506 0.402 0.472
0.528 0.880 0.494
0.598 0.494 0.880
0.880 0.528 0.598
0.038 0.038 0.712
0.288 0.288 0.962
0.712 0.712 0.038
0.962 0.962 0.288
```

Largest 10 diffraction maxima, by angle, 2θ = 10–90°:
| 2theta | d [Å] | Rel. int. |
| --- | --- | --- |
| 17.17 | 5.163 | 89 |
| 20.49 | 4.334 | 58 |
| 25.93 | 3.436 | 71 |
| 30.97 | 2.888 | 100 |
| 32.51 | 2.754 | 70 |
| 33.02 | 2.713 | 56 |
| 33.80 | 2.652 | 90 |
| 36.36 | 2.471 | 49 |
| 55.14 | 1.666 | 56 |
| 60.36 | 1.534 | 32 |

***

Record 4
Diffraction record for Tb4BBr6. The powder diffractogram is computed, not measured: it uses a GGA-PBE-relaxed structure and Cu Kα X-rays.

Crystal structure
```
Tb4BBr6
1.0
9.209 -5.670 0.000
9.209 5.670 0.000
-1.385 0.000 12.604
Tb B Br
16 4 24
direct
0.030 0.789 0.192
0.044 0.283 0.545
0.082 0.859 0.912
0.141 0.918 0.588
0.211 0.970 0.308
0.283 0.044 0.045
0.311 0.616 0.396
0.384 0.689 0.104
0.616 0.311 0.896
0.689 0.384 0.604
0.717 0.956 0.955
0.789 0.030 0.692
0.859 0.082 0.412
0.918 0.141 0.088
0.956 0.717 0.455
0.970 0.211 0.808
0.088 0.839 0.395
0.161 0.912 0.105
0.839 0.088 0.895
0.912 0.161 0.605
0.031 0.753 0.685
0.045 0.306 0.025
0.121 0.356 0.747
0.192 0.448 0.466
0.247 0.969 0.815
0.275 0.517 0.181
0.306 0.045 0.525
0.342 0.586 0.897
0.356 0.121 0.247
0.414 0.658 0.603
0.448 0.192 0.966
0.483 0.725 0.319
0.517 0.275 0.681
0.552 0.808 0.034
0.586 0.342 0.397
0.644 0.879 0.753
0.658 0.414 0.103
0.694 0.955 0.475
0.725 0.483 0.819
0.753 0.031 0.185
0.808 0.552 0.534
0.879 0.644 0.253
0.955 0.694 0.975
0.969 0.247 0.315
```

Largest 10 diffraction maxima, by angle, 2θ = 10–90°:
| 2theta | d [Å] | Rel. int. |
| --- | --- | --- |
| 11.87 | 7.453 | 36 |
| 31.01 | 2.884 | 83 |
| 31.14 | 2.872 | 81 |
| 31.55 | 2.836 | 100 |
| 43.52 | 2.079 | 28 |
| 44.83 | 2.022 | 54 |
| 44.93 | 2.018 | 52 |
| 45.50 | 1.994 | 27 |
| 54.74 | 1.677 | 24 |
| 56.43 | 1.631 | 26 |

***

Record 5
Diffraction record for PrAlAu. The powder diffractogram is computed, not measured: it uses a GGA-PBE-relaxed structure and Cu Kα X-rays.

Crystal structure
```
PrAlAu
1.0
7.602 0.000 0.000
0.000 4.650 0.000
0.000 0.000 7.787
Pr Al Au
4 4 4
direct
0.012 0.250 0.195
0.488 0.750 0.695
0.512 0.250 0.305
0.988 0.750 0.805
0.175 0.250 0.584
0.325 0.750 0.084
0.675 0.250 0.916
0.825 0.750 0.416
0.196 0.750 0.410
0.304 0.250 0.910
0.696 0.750 0.090
0.804 0.250 0.590
```

Largest 10 diffraction maxima, by angle, 2θ = 10–90°:
| 2theta | d [Å] | Rel. int. |
| --- | --- | --- |
| 25.20 | 3.535 | 74 |
| 25.71 | 3.465 | 36 |
| 32.22 | 2.779 | 53 |
| 32.53 | 2.753 | 100 |
| 32.93 | 2.720 | 32 |
| 37.32 | 2.410 | 31 |
| 38.73 | 2.325 | 42 |
| 39.77 | 2.266 | 51 |
| 54.87 | 1.673 | 21 |
| 63.50 | 1.465 | 30 |

***

Record 6
Diffraction record for UBi. The powder diffractogram is computed, not measured: it uses a GGA-PBE-relaxed structure and Cu Kα X-rays.

Crystal structure
```
UBi
1.0
3.830 0.000 0.000
0.000 3.830 0.000
0.000 0.000 3.830
U Bi
1 1
direct
0.000 0.000 0.000
0.500 0.500 0.500
```

Largest 6 diffraction maxima, by angle, 2θ = 10–90°:
| 2theta | d [Å] | Rel. int. |
| --- | --- | --- |
| 33.08 | 2.708 | 100 |
| 47.48 | 1.915 | 19 |
| 59.08 | 1.564 | 40 |
| 69.41 | 1.354 | 13 |
| 79.07 | 1.211 | 18 |
| 88.42 | 1.106 | 5 |

***

Record 7
Diffraction record for K6ZnBi5. The powder diffractogram is computed, not measured: it uses a GGA-PBE-relaxed structure and Cu Kα X-rays.

Crystal structure
```
K6ZnBi5
1.0
5.642 0.000 0.000
0.000 15.525 0.000
0.000 0.000 11.617
K Zn Bi
12 2 10
direct
0.250 0.019 0.186
0.250 0.481 0.186
0.250 0.617 0.561
0.250 0.750 0.245
0.250 0.750 0.891
0.250 0.883 0.561
0.750 0.117 0.439
0.750 0.250 0.109
0.750 0.250 0.755
0.750 0.383 0.439
0.750 0.519 0.814
0.750 0.981 0.814
0.250 0.250 0.542
0.750 0.750 0.458
0.250 0.103 0.670
0.250 0.152 0.919
0.250 0.250 0.306
0.250 0.348 0.919
0.250 0.397 0.670
0.750 0.603 0.330
0.750 0.652 0.081
0.750 0.750 0.694
0.750 0.848 0.081
0.750 0.897 0.330
```

Largest 10 diffraction maxima, by angle, 2θ = 10–90°:
| 2theta | d [Å] | Rel. int. |
| --- | --- | --- |
| 16.72 | 5.303 | 100 |
| 18.77 | 4.727 | 36 |
| 24.81 | 3.589 | 26 |
| 27.95 | 3.192 | 33 |
| 28.96 | 3.083 | 59 |
| 31.72 | 2.821 | 38 |
| 33.84 | 2.649 | 23 |
| 35.44 | 2.533 | 22 |
| 42.02 | 2.150 | 23 |
| 48.32 | 1.884 | 27 |

***

Record 8
Diffraction record for BaRhO3. The powder diffractogram is computed, not measured: it uses a GGA-PBE-relaxed structure and Cu Kα X-rays.

Crystal structure
```
BaRhO3
1.0
4.094 0.000 0.000
0.000 4.094 0.000
0.000 0.000 4.094
Ba Rh O
1 1 3
direct
0.000 0.000 0.000
0.500 0.500 0.500
0.000 0.500 0.500
0.500 0.000 0.500
0.500 0.500 0.000
```

Largest 9 diffraction maxima, by angle, 2θ = 10–90°:
| 2theta | d [Å] | Rel. int. |
| --- | --- | --- |
| 30.89 | 2.895 | 100 |
| 38.07 | 2.364 | 4 |
| 44.24 | 2.047 | 30 |
| 54.93 | 1.672 | 40 |
| 64.36 | 1.448 | 19 |
| 73.08 | 1.295 | 17 |
| 77.29 | 1.235 | 1 |
| 81.42 | 1.182 | 6 |
| 89.58 | 1.094 | 21 |